Simulated X-ray powder pattern of BaRe8 for λ = 1.5418 Å (Cu Kα), from a PBE-relaxed structure.

Crystal structure
abc: 8.6744 8.6744 4.2075
angles: 90.00 90.00 90.00
Space group I4/mmm (No. 139)
Inequivalent atoms, fractional coordinates:
1 Ba 0.0000 0.0000 0.0000 (multiplicity 2)
2 Re 0.0000 0.3571 0.0000 (multiplicity 8)
3 Re 0.1956 0.1956 0.5000 (multiplicity 8)

Main lines, in order of rising 2θ (10° ≤ 2θ ≤ 90°):
- 2θ 14.44, 6.134 Å, I 14
- 2θ 29.12, 3.067 Å, I 8
- 2θ 37.75, 2.383 Å, I 100
- 2θ 42.99, 2.104 Å, I 21
- 2θ 44.30, 2.045 Å, I 27
- 2θ 48.37, 1.882 Å, I 11
- 2θ 61.66, 1.504 Å, I 11
- 2θ 63.44, 1.466 Å, I 19
- 2θ 75.31, 1.262 Å, I 14
- 2θ 77.17, 1.236 Å, I 12

Simulated X-ray powder pattern of NaIr for λ = 1.5418 Å (Cu Kα), from a PBE-relaxed structure.

Crystal structure
abc: 6.3382 7.1137 7.1387
angles: 90.00 90.00 90.00
Space group P2_12_12_1 (No. 19)
Inequivalent atoms, fractional coordinates:
1 Na 0.0737 0.0389 0.2155 (multiplicity 4)
2 Na 0.1962 0.2314 0.5269 (multiplicity 4)
3 Ir 0.1051 0.3920 0.8941 (multiplicity 4)
4 Ir 0.1364 0.6293 0.6475 (multiplicity 4)

Main lines, in order of rising 2θ (10° ≤ 2θ ≤ 90°):
- 2θ 17.60, 5.039 Å, I 45
- 2θ 18.74, 4.736 Å, I 100
- 2θ 31.42, 2.847 Å, I 59
- 2θ 33.40, 2.683 Å, I 36
- 2θ 40.09, 2.249 Å, I 21
- 2θ 44.74, 2.026 Å, I 12
- 2θ 46.02, 1.972 Å, I 43
- 2θ 48.24, 1.887 Å, I 22
- 2θ 49.64, 1.837 Å, I 13
- 2θ 51.93, 1.761 Å, I 14

Simulated X-ray powder pattern of AcLa7Y2 for λ = 1.5418 Å (Cu Kα), from a PBE-relaxed structure.

Crystal structure
abc: 18.5818 5.7446 7.8342
angles: 90.00 114.89 90.00
Space group C2/m (No. 12)
Inequivalent atoms, fractional coordinates:
1 Ac 0.0000 0.0000 0.0000 (multiplicity 2)
2 La 0.0000 0.5000 0.5000 (multiplicity 2)
3 La 0.1301 0.5000 0.3306 (multiplicity 4)
4 La 0.1299 0.5000 0.9301 (multiplicity 4)
5 La 0.1549 0.0000 0.6554 (multiplicity 4)
6 Y 0.2139 0.0000 0.2136 (multiplicity 4)

Main lines, in order of rising 2θ (10° ≤ 2θ ≤ 90°):
- 2θ 21.89, 4.060 Å, I 25
- 2θ 28.08, 3.178 Å, I 51
- 2θ 28.64, 3.117 Å, I 100
- 2θ 30.75, 2.907 Å, I 22
- 2θ 31.15, 2.871 Å, I 82
- 2θ 31.90, 2.805 Å, I 56
- 2θ 37.85, 2.377 Å, I 20
- 2θ 44.64, 2.030 Å, I 21
- 2θ 53.88, 1.702 Å, I 17
- 2θ 65.62, 1.423 Å, I 20

Simulated X-ray powder pattern of YAg2Se for λ = 1.5418 Å (Cu Kα), from a PBE-relaxed structure.

Crystal structure
abc: 5.5921 5.6044 11.9980
angles: 90.00 90.00 90.00
Space group Fmmm (No. 69)
Inequivalent atoms, fractional coordinates:
1 Y 0.0000 0.0000 0.0000 (multiplicity 4)
2 Ag 0.2500 0.0000 0.2500 (multiplicity 8)
3 Se 0.0000 0.0000 0.5000 (multiplicity 4)

Main lines, in order of rising 2θ (10° ≤ 2θ ≤ 90°):
- 2θ 29.79, 2.999 Å, I 78
- 2θ 31.94, 2.802 Å, I 66
- 2θ 35.42, 2.534 Å, I 100
- 2θ 44.23, 2.048 Å, I 52
- 2θ 48.43, 1.880 Å, I 78
- 2θ 56.58, 1.627 Å, I 25
- 2θ 66.46, 1.407 Å, I 29
- 2θ 71.33, 1.322 Å, I 12
- 2θ 77.91, 1.226 Å, I 18
- 2θ 83.78, 1.155 Å, I 15

Simulated X-ray powder pattern of Cs2KHg16 for λ = 1.5418 Å (Cu Kα), from a PBE-relaxed structure.

Crystal structure
abc: 11.1004 11.1004 17.1487
angles: 90.00 90.00 120.00
Space group R3m (No. 160, hexagonal axes)
Inequivalent atoms, fractional coordinates:
1 Cs 0.0000 0.0000 0.0000 (multiplicity 3)
2 Cs 0.0000 0.0000 0.3198 (multiplicity 3)
3 K 0.0000 0.0000 0.5737 (multiplicity 3)
4 Hg 0.0000 0.0000 0.7739 (multiplicity 3)
5 Hg 0.0018 0.3011 0.6579 (multiplicity 18)
6 Hg 0.1678 0.3356 0.1376 (multiplicity 9)
7 Hg 0.1711 0.3423 0.4893 (multiplicity 9)
8 Hg 0.1773 0.3546 0.8426 (multiplicity 9)

Main lines, in order of rising 2θ (10° ≤ 2θ ≤ 90°):
- 2θ 15.97, 5.550 Å, I 27
- 2θ 27.87, 3.202 Å, I 36
- 2θ 31.30, 2.858 Å, I 36
- 2θ 32.03, 2.795 Å, I 100
- 2θ 32.26, 2.775 Å, I 42
- 2θ 35.32, 2.541 Å, I 18
- 2θ 35.97, 2.496 Å, I 81
- 2θ 56.15, 1.638 Å, I 22
- 2θ 57.55, 1.601 Å, I 30
- 2θ 66.96, 1.398 Å, I 16

Simulated X-ray powder pattern of PmCd6Au2 for λ = 1.5418 Å (Cu Kα), from a PBE-relaxed structure.

Crystal structure
abc: 4.2637 4.2637 11.3185
angles: 90.00 90.00 90.00
Space group P4/mmm (No. 123)
Inequivalent atoms, fractional coordinates:
1 Pm 0.0000 0.0000 0.0000 (multiplicity 1)
2 Cd 0.0000 0.0000 0.5000 (multiplicity 1)
3 Cd 0.0000 0.5000 0.2876 (multiplicity 4)
4 Cd 0.5000 0.5000 0.5000 (multiplicity 1)
5 Au 0.5000 0.5000 0.1187 (multiplicity 2)

Main lines, in order of rising 2θ (10° ≤ 2θ ≤ 90°):
- 2θ 30.69, 2.913 Å, I 19
- 2θ 31.66, 2.826 Å, I 30
- 2θ 33.68, 2.661 Å, I 100
- 2θ 38.19, 2.356 Å, I 73
- 2θ 39.82, 2.264 Å, I 17
- 2θ 42.40, 2.132 Å, I 60
- 2θ 58.36, 1.581 Å, I 18
- 2θ 59.57, 1.552 Å, I 20
- 2θ 61.52, 1.507 Å, I 19
- 2θ 72.00, 1.312 Å, I 21

Simulated X-ray powder pattern of Tb4Pr for λ = 1.5418 Å (Cu Kα), from a PBE-relaxed structure.

Crystal structure
abc: 5.4863 16.8759 3.5487
angles: 90.00 90.00 90.00
Space group Cmmm (No. 65)
Inequivalent atoms, fractional coordinates:
1 Tb 0.0000 0.1104 0.0000 (multiplicity 4)
2 Tb 0.0000 0.2999 0.5000 (multiplicity 4)
3 Pr 0.0000 0.5000 0.5000 (multiplicity 2)

Main lines, in order of rising 2θ (10° ≤ 2θ ≤ 90°):
- 2θ 30.46, 2.934 Å, I 86
- 2θ 31.11, 2.875 Å, I 100
- 2θ 32.64, 2.743 Å, I 46
- 2θ 32.98, 2.716 Å, I 43
- 2θ 34.05, 2.633 Å, I 20
- 2θ 40.94, 2.205 Å, I 16
- 2θ 47.09, 1.930 Å, I 32
- 2θ 57.30, 1.608 Å, I 18
- 2θ 58.13, 1.587 Å, I 18
- 2θ 61.40, 1.510 Å, I 29

Simulated X-ray powder pattern of SrAl2B2O7 for λ = 1.5418 Å (Cu Kα), from a PBE-relaxed structure.

Crystal structure
abc: 8.5615 4.9415 8.6103
angles: 90.00 109.35 90.00
Space group C2 (No. 5)
Inequivalent atoms, fractional coordinates:
1 Sr 0.0000 0.0000 0.0000 (multiplicity 2)
2 Al 0.0700 0.5006 0.7080 (multiplicity 4)
3 B 0.2344 0.5003 0.2060 (multiplicity 4)
4 O 0.0000 0.5018 0.5000 (multiplicity 2)
5 O 0.0800 0.4060 0.1982 (multiplicity 4)
6 O 0.1453 0.8197 0.8020 (multiplicity 4)
7 O 0.2391 0.2752 0.8006 (multiplicity 4)

Main lines, in order of rising 2θ (10° ≤ 2θ ≤ 90°):
- 2θ 10.89, 8.124 Å, I 100
- 2θ 22.01, 4.038 Å, I 63
- 2θ 25.43, 3.502 Å, I 76
- 2θ 27.74, 3.216 Å, I 33
- 2θ 33.17, 2.701 Å, I 59
- 2θ 36.19, 2.482 Å, I 15
- 2θ 36.36, 2.471 Å, I 40
- 2θ 42.88, 2.109 Å, I 49
- 2θ 49.97, 1.825 Å, I 33
- 2θ 57.47, 1.604 Å, I 17